This entry pairs a crystal structure of ErSc2ZnHg4 with its theoretical X-ray powder pattern. Radiation: Cu Kα (weighted mean of Kα1 and Kα2). Structure: a crystal structure in Alexandria, relaxed with PBE.

Peak list (6 most intense, 15 to 90 degrees two-theta, in order of rising 2θ)
25.2°, rel. 42, (1 0 4); 35.5°, rel. 100, (0 1 8); 36.4°, rel. 94, (1 1 0); 51.8°, rel. 34, (2 0 8); 63.1°, rel. 18, (1 0 16); 64.9°, rel. 35, (1 2 8)

Unit cell a=4.9345 b=4.9345 c=25.1004 alpha=90.00 beta=90.00 gamma=120.00
Space group R-3m (No. 166, hexagonal axes)
Unique sites:
Er 0.0000 0.0000 0.0000 x3
Sc 0.0000 0.0000 0.2432 x6
Zn 0.0000 0.0000 0.5000 x3
Hg 0.0000 0.0000 0.1249 x6
Hg 0.0000 0.0000 0.3767 x6

---

This entry pairs a crystal structure of SmEr2Hg5 with its theoretical X-ray powder pattern. Radiation: Cu Kα (weighted mean of Kα1 and Kα2). Structure: a crystal structure in Alexandria, relaxed with PBE.

Peak list (6 most intense, 15 to 90 degrees two-theta, in order of rising 2θ)
34.4°, rel. 53, (2 0 0); 34.6°, rel. 100, (1 1 4); 49.5°, rel. 19, (2 2 0); 61.7°, rel. 38, (3 1 4); 62.1°, rel. 17, (2 0 8); 82.9°, rel. 18, (4 2 0)

Unit cell a=5.2132 b=5.2132 c=14.6065 alpha=90.00 beta=90.00 gamma=90.00
Space group I4/mmm (No. 139)
Unique sites:
Sm 0.0000 0.0000 0.0000 x2
Er 0.0000 0.0000 0.2655 x4
Hg 0.0000 0.0000 0.5000 x2
Hg 0.0000 0.5000 0.1283 x8

---

This entry pairs a crystal structure of Sm2Er3Hg2 with its theoretical X-ray powder pattern. Radiation: Cu Kα (weighted mean of Kα1 and Kα2). Structure: a crystal structure in Alexandria, relaxed with PBE.

Peak list (6 most intense, 15 to 90 degrees two-theta, in order of rising 2θ)
32.6°, rel. 94, (1 1 2); 33.3°, rel. 100, (0 2 0); 47.3°, rel. 34, (4 0 1); 57.7°, rel. 16, (2 0 4); 59.1°, rel. 35, (4 2 1); 59.5°, rel. 19, (6 0 -2)

Unit cell a=9.3228 b=5.3780 c=8.5230 alpha=90.00 beta=111.31 gamma=90.00
Space group C2/m (No. 12)
Unique sites:
Sm 0.0755 0.0000 0.2272 x4
Er 0.0000 0.5000 0.5000 x2
Er 0.1573 0.5000 0.9720 x4
Hg 0.2142 0.0000 0.6428 x4

---

This entry pairs a crystal structure of Sm5ErHg4 with its theoretical X-ray powder pattern. Radiation: Cu Kα (weighted mean of Kα1 and Kα2). Structure: a crystal structure in Alexandria, relaxed with PBE.

Peak list (6 most intense, 15 to 90 degrees two-theta, in order of rising 2θ)
32.6°, rel. 100, (1 0 5); 33.8°, rel. 51, (1 1 0); 48.6°, rel. 19, (2 0 0); 57.3°, rel. 14, (1 1 10); 59.7°, rel. 36, (2 1 5); 81.1°, rel. 9, (3 1 0)

Unit cell a=3.7488 b=3.7488 c=20.2333 alpha=90.00 beta=90.00 gamma=90.00
Space group P4/mmm (No. 123)
Unique sites:
Sm 0.0000 0.0000 0.0000 x1
Sm 0.0000 0.0000 0.1899 x2
Sm 0.0000 0.0000 0.3813 x2
Er 0.5000 0.5000 0.5000 x1
Hg 0.5000 0.5000 0.0954 x2
Hg 0.5000 0.5000 0.2878 x2

---

Copy entry 3 word for word.
This entry pairs a crystal structure of Sm2Er3Hg2 with its theoretical X-ray powder pattern. Radiation: Cu Kα (weighted mean of Kα1 and Kα2). Structure: a crystal structure in Alexandria, relaxed with PBE.

Peak list (6 most intense, 15 to 90 degrees two-theta, in order of rising 2θ)
32.6°, rel. 94, (1 1 2); 33.3°, rel. 100, (0 2 0); 47.3°, rel. 34, (4 0 1); 57.7°, rel. 16, (2 0 4); 59.1°, rel. 35, (4 2 1); 59.5°, rel. 19, (6 0 -2)

Unit cell a=9.3228 b=5.3780 c=8.5230 alpha=90.00 beta=111.31 gamma=90.00
Space group C2/m (No. 12)
Unique sites:
Sm 0.0755 0.0000 0.2272 x4
Er 0.0000 0.5000 0.5000 x2
Er 0.1573 0.5000 0.9720 x4
Hg 0.2142 0.0000 0.6428 x4